[1]
Computed XRD peak list of K2DyGeTe4 for Cu Kα (weighted mean of Kα1 and Kα2), from a cell relaxed with PBE.

Atomic structure:
```
data_K2DyGeTe4
_cell_length_a 9.143
_cell_length_b 9.332
_cell_length_c 13.067
_cell_angle_alpha 90.00
_cell_angle_beta 90.00
_cell_angle_gamma 90.00
_symmetry_space_group_name_H-M 'I m m a'
_symmetry_Int_Tables_number 74
_symmetry_space_group_name_Hall '-I 2b 2'
loop_
_atom_site_label
_atom_site_type_symbol
_atom_site_fract_x
_atom_site_fract_y
_atom_site_fract_z
K1 K 0.000 0.000 0.000
K2 K 0.250 0.250 0.250
Dy1 Dy 0.250 0.250 0.750
Ge1 Ge 0.000 0.000 0.500
Te1 Te 0.000 0.026 0.732
Te2 Te 0.214 0.250 0.515
```

The 10 most intense peaks (2θ = 10–90°), low angle first:
Position (°2θ), I_rel, (hkl)
11.65, 25, 0 1 1
11.81, 10, 1 0 1
27.31, 100, 2 2 0
35.61, 11, 0 1 5
38.59, 13, 0 4 0
39.00, 46, 2 2 4
39.42, 11, 4 0 0
47.91, 12, 0 4 4
48.61, 10, 4 0 4
63.71, 16, 4 4 4

[2]
Computed XRD peak list of La2Tb3Tm3 for Cu Kα (weighted mean of Kα1 and Kα2), from a cell relaxed with PBE.

Atomic structure:
```
data_La2Tb3Tm3
_cell_length_a 3.590
_cell_length_b 17.644
_cell_length_c 16.738
_cell_angle_alpha 90.00
_cell_angle_beta 90.00
_cell_angle_gamma 90.00
_symmetry_space_group_name_H-M 'C m c m'
_symmetry_Int_Tables_number 63
_symmetry_space_group_name_Hall '-C 2c 2'
loop_
_atom_site_label
_atom_site_type_symbol
_atom_site_fract_x
_atom_site_fract_y
_atom_site_fract_z
La1 La 0.000 0.220 0.151
Tb1 Tb 0.000 0.359 0.014
Tb2 Tb 0.000 0.394 0.250
Tm1 Tm 0.000 0.006 0.100
Tm2 Tm 0.000 0.422 0.750
```

The 10 most intense peaks (2θ = 10–90°), low angle first:
Position (°2θ), I_rel, (hkl)
25.88, 23, 1 1 1
29.15, 32, 1 3 0
29.42, 96, 0 4 4
31.08, 28, 1 3 2
32.27, 31, 0 6 2
33.27, 100, 1 1 4
33.68, 44, 0 2 6
35.68, 59, 1 5 0
55.39, 33, 1 7 6
59.86, 26, 2 4 4